Theoretical X-ray powder pattern of MoCl3O for Cu Kα, 1.54184 Å, from a GGA+U-relaxed structure.
Neutral-atom scattering factors, no anomalous dispersion.

The 8 most intense peaks (2θ from 10° to 80°), in order of rising 2θ:
2θ = 12.2°, 7.236 Å, rel. 56, (0 2 0); 2θ = 14.0°, 6.320 Å, rel. 100, (1 0 0); 2θ = 18.6°, 4.760 Å, rel. 30, (1 2 0); 2θ = 18.8°, 4.712 Å, rel. 61, (0 2 1); 2θ = 23.2°, 3.839 Å, rel. 42, (1 2 -1); 2θ = 31.7°, 2.827 Å, rel. 53, (1 4 -1); 2θ = 33.3°, 2.693 Å, rel. 21, (1 1 2); 2θ = 40.1°, 2.247 Å, rel. 27, (2 4 -1)

Atomic structure:
Lattice parameters (Å, degrees): 6.3264 14.4723 6.2157 90.00 92.48 90.00
Space group P2_1/c (No. 14)
Inequivalent atoms, fractional coordinates:
Mo  0.0364  0.1668  0.2997 x4
Cl  0.1505  0.6926  0.5599 x4
Cl  0.2662  0.1897  0.6094 x4
Cl  0.2856  0.0731  0.1488 x4
O  0.1454  0.5908  0.1169 x4